Diffraction record for SmFe3P3. The powder XRD pattern is theoretical, not measured: it uses DFT lattice parameters and positions (GGA-PBE) and Cu Kα, 1.54184 Å.
Neutral-atom scattering factors, no anomalous dispersion.

Structural model:
Cell: 6.3498 6.3498 19.7843 Å, 90.00 90.00 120.00°
Space group R-3 (No. 148, hexagonal axes)
Inequivalent atoms, fractional coordinates:
Sm 0.0000 0.0000 0.1670 [6 per cell]
Fe 0.0066 0.3530 0.3752 [18 per cell]
P 0.0055 0.3132 0.5970 [18 per cell]

Most intense lines, 2θ = 5–70°, in order of rising 2θ:
16.73°, rel. 24, hkl 1 0 1; 18.46°, rel. 20, hkl 0 1 2; 31.27°, rel. 100, hkl 1 1 3; 39.40°, rel. 51, hkl 2 -1 6; 41.06°, rel. 18, hkl 0 0 9; 49.74°, rel. 42, hkl 3 0 0; 50.50°, rel. 14, hkl 1 1 9; 59.94°, rel. 15, hkl 4 -2 3; 63.59°, rel. 12, hkl 2 -1 12; 66.41°, rel. 23, hkl 3 0 9

***

Diffraction record for SmVFeP2. The powder XRD pattern is theoretical, not measured: it uses DFT lattice parameters and positions (GGA-PBE) and Cu Kα, 1.54184 Å.
Neutral-atom scattering factors, no anomalous dispersion.

Structural model:
Cell: 3.906 3.906 10.318 Å, 90.00 90.00 90.00°
Space group I-4m2 (No. 119)
Inequivalent atoms, fractional coordinates:
Sm 0.000 0.000 0.000 [2 per cell]
V 0.000 0.500 0.750 [2 per cell]
Fe 0.000 0.500 0.250 [2 per cell]
P 0.000 0.000 0.370 [4 per cell]

Most intense lines, 2θ = 5–70°, in order of rising 2θ:
24.36°, rel. 50, hkl 1 0 1; 32.41°, rel. 11, hkl 1 1 0; 34.76°, rel. 88, hkl 0 0 4; 36.91°, rel. 100, hkl 1 1 2; 46.49°, rel. 40, hkl 2 0 0; 49.98°, rel. 23, hkl 1 0 5; 53.18°, rel. 14, hkl 2 1 1; 59.34°, rel. 44, hkl 2 0 4; 63.75°, rel. 21, hkl 1 1 6; 67.86°, rel. 12, hkl 2 2 0

***

Diffraction record for Ta9Fe2P6. The powder XRD pattern is theoretical, not measured: it uses DFT lattice parameters and positions (GGA-PBE) and Cu Kα, 1.54184 Å.
Neutral-atom scattering factors, no anomalous dispersion.

Structural model:
Cell: 10.3392 10.3392 3.3567 Å, 90.00 90.00 120.00°
Space group P-62m (No. 189)
Inequivalent atoms, fractional coordinates:
Ta 0.0000 0.5445 0.0000 [3 per cell]
Ta 0.1934 0.4576 0.5000 [6 per cell]
Fe 0.3333 0.6667 0.0000 [2 per cell]
P 0.0000 0.2913 0.0000 [3 per cell]
P 0.0000 0.7282 0.5000 [3 per cell]

Most intense lines, 2θ = 5–70°, in order of rising 2θ:
9.88°, rel. 100, hkl 1 0 0; 26.33°, rel. 10, hkl 2 1 0; 33.36°, rel. 35, hkl 2 0 1; 36.17°, rel. 38, hkl 3 1 0; 37.75°, rel. 62, hkl 2 1 1; 40.29°, rel. 18, hkl 4 0 0; 40.44°, rel. 11, hkl 3 0 1; 44.23°, rel. 24, hkl 2 2 1; 64.22°, rel. 16, hkl 5 1 1; 67.34°, rel. 13, hkl 3 1 2

***

Diffraction record for TaFe2P. The powder XRD pattern is theoretical, not measured: it uses DFT lattice parameters and positions (GGA-PBE) and Cu Kα, 1.54184 Å.
Neutral-atom scattering factors, no anomalous dispersion.

Structural model:
Cell: 12.910 6.362 4.783 Å, 90.00 90.00 90.00°
Space group Pnma (No. 62)
Inequivalent atoms, fractional coordinates:
Ta 0.112 0.250 0.241 [4 per cell]
Ta 0.137 0.750 0.024 [4 per cell]
Fe 0.034 0.047 0.754 [8 per cell]
Fe 0.216 0.550 0.534 [8 per cell]
P 0.069 0.750 0.520 [4 per cell]
P 0.180 0.250 0.752 [4 per cell]

Most intense lines, 2θ = 5–70°, in order of rising 2θ:
28.05°, rel. 22, hkl 0 2 0; 36.43°, rel. 22, hkl 4 1 1; 36.67°, rel. 45, hkl 2 2 1; 39.79°, rel. 80, hkl 4 2 0; 39.97°, rel. 34, hkl 3 2 1; 42.24°, rel. 24, hkl 5 1 1; 42.75°, rel. 100, hkl 2 1 2; 46.27°, rel. 25, hkl 6 0 1; 47.42°, rel. 18, hkl 1 3 1; 60.04°, rel. 22, hkl 2 3 2

***

Diffraction record for TbFe5P3. The powder XRD pattern is theoretical, not measured: it uses DFT lattice parameters and positions (GGA-PBE) and Cu Kα, 1.54184 Å.
Neutral-atom scattering factors, no anomalous dispersion.

Structural model:
Cell: 11.832 3.658 10.319 Å, 90.00 90.00 90.00°
Space group Pnma (No. 62)
Inequivalent atoms, fractional coordinates:
Tb 0.204 0.250 0.081 [4 per cell]
Fe 0.009 0.750 0.095 [4 per cell]
Fe 0.011 0.750 0.708 [4 per cell]
Fe 0.067 0.750 0.463 [4 per cell]
Fe 0.176 0.250 0.780 [4 per cell]
Fe 0.202 0.250 0.375 [4 per cell]
P 0.103 0.750 0.899 [4 per cell]
P 0.112 0.250 0.577 [4 per cell]
P 0.128 0.750 0.267 [4 per cell]

Most intense lines, 2θ = 5–70°, in order of rising 2θ:
26.94°, rel. 20, hkl 1 1 1; 30.04°, rel. 13, hkl 2 0 3; 35.62°, rel. 16, hkl 1 0 4; 37.81°, rel. 18, hkl 3 1 2; 39.04°, rel. 100, hkl 2 1 3; 39.17°, rel. 52, hkl 4 1 0; 40.19°, rel. 25, hkl 4 0 3; 43.61°, rel. 12, hkl 1 1 4; 49.86°, rel. 32, hkl 0 2 0; 53.57°, rel. 20, hkl 6 0 3

***

Diffraction record for FeTcP. The powder XRD pattern is theoretical, not measured: it uses DFT lattice parameters and positions (GGA-PBE) and Cu Kα, 1.54184 Å.
Neutral-atom scattering factors, no anomalous dispersion.

Structural model:
Cell: 5.759 3.740 6.591 Å, 90.00 90.00 90.00°
Space group Pnma (No. 62)
Inequivalent atoms, fractional coordinates:
Fe 0.140 0.250 0.067 [4 per cell]
Tc 0.028 0.250 0.667 [4 per cell]
P 0.235 0.750 0.881 [4 per cell]

Most intense lines, 2θ = 5–70°, in order of rising 2θ:
27.42°, rel. 17, hkl 0 1 1; 39.50°, rel. 28, hkl 2 1 0; 39.67°, rel. 100, hkl 1 1 2; 41.90°, rel. 71, hkl 2 1 1; 44.12°, rel. 32, hkl 1 0 3; 48.03°, rel. 13, hkl 0 1 3; 48.70°, rel. 36, hkl 0 2 0; 49.45°, rel. 18, hkl 3 0 1; 55.39°, rel. 12, hkl 3 0 2; 67.79°, rel. 17, hkl 1 2 3

***

Diffraction record for U3Fe2Tc2P4. The powder XRD pattern is theoretical, not measured: it uses DFT lattice parameters and positions (GGA-PBE) and Cu Kα, 1.54184 Å.
Neutral-atom scattering factors, no anomalous dispersion.

Structural model:
Cell: 3.9253 3.9253 13.6210 Å, 90.00 90.00 120.00°
Space group P-3m1 (No. 164)
Inequivalent atoms, fractional coordinates:
U 0.0000 0.0000 0.0000 [1 per cell]
U 0.0000 0.0000 0.2628 [2 per cell]
Fe 0.3333 0.6667 0.1502 [2 per cell]
Tc 0.3333 0.6667 0.5666 [2 per cell]
P 0.3333 0.6667 0.3877 [2 per cell]
P 0.3333 0.6667 0.8715 [2 per cell]

Most intense lines, 2θ = 5–70°, in order of rising 2θ:
26.21°, rel. 53, hkl 1 0 0; 27.03°, rel. 24, hkl 0 1 1; 29.37°, rel. 28, hkl 1 0 2; 32.91°, rel. 47, hkl 1 0 3; 37.38°, rel. 100, hkl 0 1 4; 46.26°, rel. 56, hkl 1 1 0; 53.91°, rel. 14, hkl 0 0 8; 57.93°, rel. 11, hkl 0 2 3; 60.89°, rel. 41, hkl 2 0 4; 67.82°, rel. 20, hkl 1 1 7

***

Diffraction record for FeTeP. The powder XRD pattern is theoretical, not measured: it uses DFT lattice parameters and positions (GGA-PBE) and Cu Kα, 1.54184 Å.
Neutral-atom scattering factors, no anomalous dispersion.

Structural model:
Cell: 6.064 5.948 6.064 Å, 90.00 113.53 90.00°
Space group P2_1/c (No. 14)
Inequivalent atoms, fractional coordinates:
Fe 0.205 0.017 0.204 [4 per cell]
Te 0.344 0.625 0.139 [4 per cell]
P 0.139 0.149 0.838 [4 per cell]

Most intense lines, 2θ = 5–70°, in order of rising 2θ:
21.88°, rel. 46, hkl 1 1 0; 29.64°, rel. 36, hkl 1 0 -2; 32.20°, rel. 52, hkl 2 0 0; 33.33°, rel. 42, hkl 2 1 -1; 34.19°, rel. 34, hkl 0 2 1; 34.97°, rel. 100, hkl 1 2 -1; 35.65°, rel. 100, hkl 2 1 0; 47.62°, rel. 70, hkl 1 1 -3; 53.84°, rel. 34, hkl 1 3 1; 56.60°, rel. 29, hkl 3 1 -3

***

Diffraction record for Fe7TeP. The powder XRD pattern is theoretical, not measured: it uses DFT lattice parameters and positions (GGA-PBE) and Cu Kα, 1.54184 Å.
Neutral-atom scattering factors, no anomalous dispersion.

Structural model:
Cell: 4.552 7.510 7.718 Å, 114.41 94.76 93.40°
Space group P1 (No. 1)
Inequivalent atoms, fractional coordinates:
Fe 0.000 0.000 0.000 [1 per cell]
Fe 0.002 0.597 0.921 [1 per cell]
Fe 0.137 0.887 0.277 [1 per cell]
Fe 0.203 0.999 0.678 [1 per cell]
Fe 0.284 0.306 0.013 [1 per cell]
Fe 0.336 0.229 0.314 [1 per cell]
Fe 0.365 0.580 0.405 [1 per cell]
Fe 0.494 0.994 0.011 [1 per cell]
Fe 0.636 0.991 0.478 [1 per cell]
Fe 0.670 0.806 0.713 [1 per cell]
Fe 0.768 0.189 0.831 [1 per cell]
Fe 0.819 0.363 0.188 [1 per cell]
Fe 0.850 0.432 0.548 [1 per cell]
Fe 0.903 0.704 0.431 [1 per cell]
Te 0.360 0.327 0.674 [1 per cell]
Te 0.562 0.661 0.127 [1 per cell]
P 0.169 0.731 0.727 [1 per cell]
P 0.832 0.124 0.296 [1 per cell]

Most intense lines, 2θ = 5–70°, in order of rising 2θ:
37.11°, rel. 75, hkl 0 3 -2; 39.75°, rel. 42, hkl 0 3 0; 40.16°, rel. 46, hkl 1 -3 1; 40.82°, rel. 100, hkl 2 -1 0; 41.52°, rel. 85, hkl 1 0 -3; 42.21°, rel. 66, hkl 1 -1 3; 42.35°, rel. 45, hkl 2 1 -1; 42.73°, rel. 45, hkl 1 -3 0; 42.77°, rel. 40, hkl 1 3 -1; 45.93°, rel. 45, hkl 2 -2 1

***

Diffraction record for Tl2FeP. The powder XRD pattern is theoretical, not measured: it uses DFT lattice parameters and positions (GGA-PBE) and Cu Kα, 1.54184 Å.
Neutral-atom scattering factors, no anomalous dispersion.

Structural model:
Cell: 3.118 3.118 8.844 Å, 90.00 90.00 90.00°
Space group P4mm (No. 99)
Inequivalent atoms, fractional coordinates:
Tl 0.000 0.000 0.000 [1 per cell]
Tl 0.500 0.500 0.377 [1 per cell]
Fe 0.000 0.000 0.647 [1 per cell]
P 0.500 0.500 0.726 [1 per cell]

Most intense lines, 2θ = 5–70°, in order of rising 2θ:
20.08°, rel. 17, hkl 0 0 2; 30.37°, rel. 100, hkl 0 0 3; 35.22°, rel. 42, hkl 1 0 2; 40.93°, rel. 32, hkl 1 1 0; 42.19°, rel. 13, hkl 1 0 3; 50.61°, rel. 16, hkl 1 0 4; 51.76°, rel. 29, hkl 1 1 3; 59.27°, rel. 11, hkl 2 0 0; 67.99°, rel. 19, hkl 2 0 3; 68.07°, rel. 15, hkl 2 1 1

***

Diffraction record for UFe3P3. The powder XRD pattern is theoretical, not measured: it uses DFT lattice parameters and positions (GGA-PBE) and Cu Kα, 1.54184 Å.
Neutral-atom scattering factors, no anomalous dispersion.

Structural model:
Cell: 6.060 6.060 6.060 Å, 90.00 90.00 90.00°
Space group Pm-3n (No. 223)
Inequivalent atoms, fractional coordinates:
U 0.000 0.000 0.000 [2 per cell]
Fe 0.000 0.250 0.500 [6 per cell]
P 0.000 0.500 0.250 [6 per cell]

Most intense lines, 2θ = 5–70°, in order of rising 2θ:
20.73°, rel. 34, hkl 1 1 0; 29.48°, rel. 44, hkl 2 0 0; 33.05°, rel. 4, hkl 2 1 0; 36.31°, rel. 100, hkl 2 1 1; 42.18°, rel. 6, hkl 2 2 0; 47.44°, rel. 10, hkl 3 1 0; 56.85°, rel. 55, hkl 3 2 1; 61.17°, rel. 13, hkl 4 0 0; 65.33°, rel. 6, hkl 4 1 1; 69.35°, rel. 15, hkl 4 2 0

***

Diffraction record for UFe4P4. The powder XRD pattern is theoretical, not measured: it uses DFT lattice parameters and positions (GGA-PBE) and Cu Kα, 1.54184 Å.
Neutral-atom scattering factors, no anomalous dispersion.

Structural model:
Cell: 5.619 5.619 7.330 Å, 90.00 90.00 90.00°
Space group P4_2/nmc (No. 137, origin choice 2)
Inequivalent atoms, fractional coordinates:
U 0.250 0.750 0.250 [2 per cell]
Fe 0.022 0.250 0.130 [8 per cell]
P 0.040 0.250 0.430 [8 per cell]

Most intense lines, 2θ = 5–70°, in order of rising 2θ:
19.91°, rel. 32, hkl 1 0 1; 22.38°, rel. 19, hkl 1 1 0; 31.85°, rel. 18, hkl 2 0 0; 33.26°, rel. 34, hkl 1 1 2; 37.85°, rel. 100, hkl 2 1 1; 40.25°, rel. 39, hkl 1 0 3; 40.45°, rel. 17, hkl 2 0 2; 60.76°, rel. 16, hkl 3 2 1; 62.48°, rel. 17, hkl 3 0 3; 69.82°, rel. 14, hkl 2 2 4

***

Question: Number 9 is which compound?
Answer: Fe7TeP

***

Question: Which formula does entry 2 have?
Answer: SmVFeP2